Theoretical X-ray diffraction stick pattern
Compound: La2MgSe4
Radiation: CuKα
Structure: a cell relaxed with PBE
Neutral-atom scattering factors, no anomalous dispersion.

Structural model:
Cell lengths 12.152, 12.152, 12.152 Å; angles 90.00, 90.00, 90.00 degrees
Space group Fd-3m (No. 227, origin choice 2)
Unique sites:
La  0.000  0.000  0.000 [16 per cell]
Mg  0.125  0.125  0.625 [8 per cell]
Se  0.002  0.002  0.248 [32 per cell]

Main lines, in order of rising 2θ (10° ≤ 2θ ≤ 90°):
hkl  2θ (°)  I/Imax
1 1 1  12.62  45.8
3 1 1  24.29  47.5
4 0 0  29.40  100.0
5 1 1  38.49  20.8
4 4 0  42.06  88.8
4 4 4  52.14  26.4
8 4 0  69.14  33.7
8 4 4  76.86  29.5

Theoretical X-ray diffraction stick pattern
Compound: Mg14ZrV
Radiation: CuKα
Structure: a cell relaxed with PBE
Neutral-atom scattering factors, no anomalous dispersion.

Structural model:
Cell lengths 6.3744, 6.3744, 10.1505 Å; angles 90.00, 90.00, 120.00 degrees
Space group P-6m2 (No. 187)
Unique sites:
Mg  0.0000  0.0000  0.2473 [2 per cell]
Mg  0.0075  0.5038  0.2524 [6 per cell]
Mg  0.3346  0.1673  0.5000 [3 per cell]
Mg  0.3392  0.1696  0.0000 [3 per cell]
Zr  0.3333  0.6667  0.0000 [1 per cell]
V  0.3333  0.6667  0.5000 [1 per cell]

Main lines, in order of rising 2θ (10° ≤ 2θ ≤ 90°):
hkl  2θ (°)  I/Imax
1 0 0  16.06  20.1
2 0 0  32.44  26.4
0 0 4  35.37  25.1
2 0 2  37.08  100.0
2 0 4  48.75  16.0
2 2 0  57.86  17.0
2 0 6  64.62  18.3
2 2 4  69.67  18.7

Theoretical X-ray diffraction stick pattern
Compound: OsBr4
Radiation: CuKα
Structure: a cell relaxed with PBE
Neutral-atom scattering factors, no anomalous dispersion.

Structural model:
Cell lengths 6.433, 13.144, 15.464 Å; angles 90.00, 90.00, 90.00 degrees
Space group Pbca (No. 61)
Unique sites:
Os  0.097  0.129  0.184 [8 per cell]
Br  0.049  0.745  0.422 [8 per cell]
Br  0.075  0.733  0.194 [8 per cell]
Br  0.231  0.524  0.306 [8 per cell]
Br  0.241  0.013  0.078 [8 per cell]

Main lines, in order of rising 2θ (10° ≤ 2θ ≤ 90°):
hkl  2θ (°)  I/Imax
0 0 2  11.44  45.4
0 2 1  14.65  100.0
1 1 2  19.18  22.7
1 2 4  30.20  35.2
2 2 0  30.94  29.1
1 3 4  33.92  32.5
1 5 4  43.97  16.8
3 0 4  48.55  22.0

Theoretical X-ray diffraction stick pattern
Compound: Na2Sb3O8
Radiation: CuKα
Structure: a cell relaxed with PBE
Neutral-atom scattering factors, no anomalous dispersion.

Structural model:
Cell lengths 9.303, 9.303, 9.303 Å; angles 90.00, 90.00, 90.00 degrees
Space group P4_332 (No. 212)
Unique sites:
Na  0.008  0.008  0.008 [8 per cell]
Sb  0.119  0.131  0.625 [12 per cell]
O  0.082  0.146  0.407 [24 per cell]
O  0.113  0.613  0.887 [8 per cell]

Main lines, in order of rising 2θ (10° ≤ 2θ ≤ 90°):
hkl  2θ (°)  I/Imax
1 1 0  13.46  56.2
1 1 1  16.50  100.0
2 1 0  21.36  53.7
3 1 1  31.91  93.4
2 2 2  33.36  39.3
4 0 0  38.72  52.2
5 1 1  51.01  37.8
4 4 0  55.91  45.3

Theoretical X-ray diffraction stick pattern
Compound: RbPH2O4
Radiation: CuKα
Structure: a cell relaxed with PBE
Neutral-atom scattering factors, no anomalous dispersion.

Structural model:
Cell lengths 4.902, 6.217, 7.546 Å; angles 90.00, 108.14, 90.00 degrees
Space group P2_1/m (No. 11)
Unique sites:
Rb  0.209  0.250  0.257 [2 per cell]
P  0.296  0.250  0.752 [2 per cell]
H  0.179  0.750  0.381 [2 per cell]
H  0.500  0.000  0.000 [2 per cell]
O  0.005  0.250  0.583 [2 per cell]
O  0.291  0.045  0.870 [4 per cell]
O  0.462  0.750  0.334 [2 per cell]

Main lines, in order of rising 2θ (10° ≤ 2θ ≤ 90°):
hkl  2θ (°)  I/Imax
1 1 0  23.87  100.0
0 0 2  24.83  44.8
0 2 0  28.72  34.4
1 1 -2  29.97  50.8
1 2 -1  34.78  16.9
0 2 2  38.32  26.9
2 0 -2  38.98  49.2
0 4 0  59.50  14.7

Theoretical X-ray diffraction stick pattern
Compound: Sc3NiC4
Radiation: CuKα
Structure: a cell relaxed with PBE
Neutral-atom scattering factors, no anomalous dispersion.

Structural model:
Cell lengths 3.452, 4.373, 11.898 Å; angles 90.00, 90.00, 90.00 degrees
Space group Immm (No. 71)
Unique sites:
Sc  0.000  0.000  0.000 [2 per cell]
Sc  0.000  0.500  0.187 [4 per cell]
Ni  0.000  0.000  0.500 [2 per cell]
C  0.000  0.334  0.376 [8 per cell]

Main lines, in order of rising 2θ (10° ≤ 2θ ≤ 90°):
hkl  2θ (°)  I/Imax
0 0 2  14.89  17.2
1 1 2  36.44  100.0
0 2 0  41.30  18.6
0 1 5  43.29  13.7
1 1 4  45.27  29.5
0 0 6  45.75  12.5
2 0 0  53.06  14.4
1 2 3  54.83  12.7

Theoretical X-ray diffraction stick pattern
Compound: ZnBr2N2
Radiation: CuKα
Structure: a cell relaxed with PBE
Neutral-atom scattering factors, no anomalous dispersion.

Structural model:
Cell lengths 8.330, 8.422, 7.845 Å; angles 90.00, 90.00, 90.00 degrees
Space group Imma (No. 74)
Unique sites:
Zn  0.000  0.250  0.132 [4 per cell]
Br  0.000  0.002  0.744 [8 per cell]
N  0.209  0.250  0.984 [8 per cell]

Main lines, in order of rising 2θ (10° ≤ 2θ ≤ 90°):
hkl  2θ (°)  I/Imax
1 0 1  15.48  45.5
2 0 0  21.33  100.0
0 0 2  22.67  39.2
2 2 0  30.18  26.2
0 2 2  31.16  59.6
2 0 2  31.32  64.9
2 2 2  38.07  36.2
2 2 4  56.26  40.9

Theoretical X-ray diffraction stick pattern
Compound: Eu2TlIn
Radiation: CuKα
Structure: a cell relaxed with PBE
Neutral-atom scattering factors, no anomalous dispersion.

Structural model:
Cell lengths 7.767, 7.767, 7.767 Å; angles 90.00, 90.00, 90.00 degrees
Space group Fm-3m (No. 225)
Unique sites:
Eu  0.250  0.250  0.250 [8 per cell]
Tl  0.000  0.000  0.000 [4 per cell]
In  0.000  0.000  0.500 [4 per cell]

Main lines, in order of rising 2θ (10° ≤ 2θ ≤ 90°):
hkl  2θ (°)  I/Imax
1 1 1  19.80  3.8
2 2 0  32.61  100.0
3 1 1  38.44  2.3
4 0 0  46.78  18.3
4 2 2  58.19  38.1
4 4 0  68.31  11.8
6 2 0  77.77  16.5
4 4 4  86.89  4.3

What did the first record say?
Theoretical X-ray diffraction stick pattern
Compound: La2MgSe4
Radiation: CuKα
Structure: a cell relaxed with PBE
Neutral-atom scattering factors, no anomalous dispersion.

Structural model:
Cell lengths 12.152, 12.152, 12.152 Å; angles 90.00, 90.00, 90.00 degrees
Space group Fd-3m (No. 227, origin choice 2)
Unique sites:
La  0.000  0.000  0.000 [16 per cell]
Mg  0.125  0.125  0.625 [8 per cell]
Se  0.002  0.002  0.248 [32 per cell]

Main lines, in order of rising 2θ (10° ≤ 2θ ≤ 90°):
hkl  2θ (°)  I/Imax
1 1 1  12.62  45.8
3 1 1  24.29  47.5
4 0 0  29.40  100.0
5 1 1  38.49  20.8
4 4 0  42.06  88.8
4 4 4  52.14  26.4
8 4 0  69.14  33.7
8 4 4  76.86  29.5